Record 1
# Na2W2O7
Calculated powder diffraction line list, a wavelength of 1.5418 Å. Input: DFT lattice parameters and positions (GGA+U).
Peak positions follow from Bragg's law for the DFT cell and can differ from measured ones.

Cell and atoms:
```
22
Lattice="1.9393 -13.6689 0.0000 1.9393 13.6689 0.0000 0.0000 0.0000 5.5239" Properties=species:S:1:pos:R:3 pbc="T T T"
Na 1.9393 12.2002 2.7620
Na 1.9393 7.7511 0.2437
Na 1.9393 -7.7511 3.0057
Na 1.9393 -12.2002 0.0000
W 1.9393 4.3165 0.1120
W 1.9393 1.4431 2.8077
W 1.9393 -1.4431 0.0458
W 1.9393 -4.3165 2.8740
O 1.9393 12.3897 0.0357
O 1.9393 9.6808 2.7891
O 1.9393 5.7026 4.4782
O 1.9393 5.2557 1.6347
O 1.9393 2.8775 3.9756
O 1.9393 2.4553 1.2150
O 1.9393 0.2173 4.3896
O 1.9393 -0.2173 1.6276
O 1.9393 -2.4553 3.9770
O 1.9393 -2.8775 1.2136
O 1.9393 -5.2557 4.3967
O 1.9393 -5.7026 1.7163
O 1.9393 -9.6808 0.0272
O 1.9393 -12.3897 2.7977
```

Principal peaks in the range 2θ = 10–90°, sorted by position:
Position (°2θ), I (rel.)
20.67, 100
23.16, 67
25.34, 45
32.42, 26
32.62, 83
46.79, 45
50.48, 28
58.37, 24

---

Record 2
# Li5Mn3O8
Calculated powder diffraction line list, a wavelength of 1.5418 Å. Input: DFT lattice parameters and positions (GGA+U).
Peak positions follow from Bragg's law for the DFT cell and can differ from measured ones.

Cell and atoms:
```
16
Lattice="2.9530 0.0000 0.0000 0.1906 5.0856 0.0000 1.2434 0.5536 9.6861" Properties=species:S:1:pos:R:3 pbc="T T T"
Li 0.0000 0.0000 0.0000
Li 1.3463 2.2996 7.4109
Li 1.4363 0.6969 2.1998
Li 2.9507 4.9424 7.4863
Li 3.0407 3.3396 2.2752
Mn 1.5039 4.0892 4.8404
Mn 1.5718 2.5428 0.0000
Mn 2.8831 1.5500 4.8457
O 1.3509 3.8795 8.6280
O 1.2724 0.6358 5.9423
O 1.5406 2.4471 3.7631
O 1.5809 4.0716 1.1418
O 2.8061 1.5676 8.5444
O 2.8464 3.1922 5.9230
O 3.1146 5.0034 3.7438
O 3.0361 1.7598 1.0581
```

Principal peaks in the range 2θ = 10–90°, sorted by position:
Position (°2θ), I (rel.)
17.47, 13
18.32, 100
34.91, 18
36.34, 11
42.03, 36
43.98, 31
44.10, 30
62.98, 17

---

Record 3
# Ba2Tl2Ni3O10
Calculated powder diffraction line list, a wavelength of 1.5418 Å. Input: DFT lattice parameters and positions (GGA+U).
Peak positions follow from Bragg's law for the DFT cell and can differ from measured ones.

Cell and atoms:
```
17
Lattice="3.6813 0.0000 0.0000 0.0119 3.6882 0.0000 1.5812 1.2521 19.6828" Properties=species:S:1:pos:R:3 pbc="T T T"
Ba 0.0000 0.0000 0.0000
Ba 1.7999 1.8059 8.6249
Tl 1.8101 1.8285 3.0979
Tl 3.6461 3.6661 5.5248
Ni 3.4477 3.1014 17.3789
Ni 3.6950 3.2700 14.1577
Ni 3.6683 3.6513 10.9282
O 1.6089 3.0995 17.7336
O 1.8652 3.2741 14.2432
O 1.8250 3.6472 10.6031
O 1.6675 1.8208 5.1958
O 1.8216 1.8371 1.0730
O 3.4397 1.2576 17.7127
O 3.7119 1.4274 14.0570
O 3.6557 1.8054 10.5662
O 3.6312 3.6544 7.5496
O 3.5150 3.6657 3.4254
```

Principal peaks in the range 2θ = 10–90°, sorted by position:
Position (°2θ), I (rel.)
28.55, 73
28.81, 75
29.17, 74
29.37, 72
31.83, 83
34.38, 74
34.50, 100
49.49, 82

---

Record 4
# Mn7PbO12
Calculated powder diffraction line list, a wavelength of 1.5418 Å. Input: DFT lattice parameters and positions (GGA+U).
Peak positions follow from Bragg's law for the DFT cell and can differ from measured ones.

Cell and atoms:
```
20
Lattice="5.3461 3.0866 2.1801 -5.3461 3.0866 2.1801 0.0000 -6.1731 2.1801" Properties=species:S:1:pos:R:3 pbc="T T T"
Mn 0.0000 0.0000 0.0000
Mn -5.3461 0.0000 3.2701
Mn -2.6730 1.5433 1.0900
Mn -2.6730 -1.5433 2.1801
Mn 2.6730 1.5433 1.0900
Mn -2.6730 1.5433 4.3602
Mn 0.0000 3.0866 2.1801
Pb 0.0000 0.0000 3.2701
O -0.9192 -1.3651 1.1189
O -0.7226 1.4786 1.1189
O -2.6848 0.4529 2.7251
O -1.7346 -2.0987 3.8152
O 1.6418 -0.1135 1.1189
O 0.9502 -2.5516 2.7251
O -0.9502 2.5516 3.8152
O -1.6418 0.1135 5.4214
O 1.7346 2.0987 2.7251
O 2.6848 -0.4529 3.8152
O 0.7226 -1.4786 5.4214
O 0.9192 1.3651 5.4214
```

Principal peaks in the range 2θ = 10–90°, sorted by position:
Position (°2θ), I (rel.)
16.59, 33
28.94, 18
33.54, 100
37.64, 19
44.87, 21
48.16, 25
59.96, 48
80.35, 17

---

Record 5
# SrMgCrP2O8
Calculated powder diffraction line list, a wavelength of 1.5418 Å. Input: DFT lattice parameters and positions (GGA+U).
Peak positions follow from Bragg's law for the DFT cell and can differ from measured ones.

Cell and atoms:
```
26
Lattice="5.6595 0.0000 0.0000 -1.0264 6.7704 0.0000 -1.9860 -3.4974 8.4685" Properties=species:S:1:pos:R:3 pbc="T T T"
Sr 0.2871 -0.2204 3.7721
Sr 2.3600 3.4934 4.6963
Mg 2.0915 2.1349 1.2570
Mg 0.5557 1.1381 7.2114
Cr -0.1642 5.5417 0.4104
Cr 2.8114 -2.2688 8.0581
P -0.4998 2.9774 2.2426
P 0.3025 -2.6374 6.7600
P 2.3447 5.9104 1.7085
P 3.1469 0.2956 6.2259
O -1.9611 3.3052 7.2253
O 0.1187 2.4496 0.8871
O -1.0382 0.7414 6.0360
O -0.4260 4.5220 2.2032
O -0.9212 4.5622 5.3116
O 0.4698 2.3954 3.3024
O 2.0815 0.0736 1.5903
O 0.5441 -1.4434 7.7425
O 2.1030 4.7164 0.7260
O 0.5657 3.1994 6.8782
O 2.1774 0.8776 5.1661
O 3.5683 -1.2892 3.1568
O 3.0731 -1.2490 6.2653
O 3.6854 2.5316 2.4324
O 2.5284 0.8234 7.5813
O 4.6082 -0.0322 1.2432
```

Principal peaks in the range 2θ = 10–90°, sorted by position:
Position (°2θ), I (rel.)
22.11, 38
28.26, 100
30.35, 63
31.37, 46
32.01, 45
33.36, 61
42.50, 27
46.84, 31

---

Record 6
# VPH5O7
Calculated powder diffraction line list, a wavelength of 1.5418 Å. Input: DFT lattice parameters and positions (GGA+U).
Peak positions follow from Bragg's law for the DFT cell and can differ from measured ones.

Cell and atoms:
```
56
Lattice="7.6933 0.0000 0.0000 0.0000 7.3055 0.0000 -0.9082 0.0000 9.6026" Properties=species:S:1:pos:R:3 pbc="T T T"
V -0.0792 0.9825 2.4411
V -0.5332 2.6702 7.2423
V 7.3184 4.6353 2.3602
V 6.8643 6.3230 7.1615
P 0.8087 4.7603 9.4975
P 1.2628 6.1980 4.6963
P 5.5224 1.1075 4.9063
P 5.9764 2.5453 0.1050
H 1.3528 0.1362 0.4148
H 0.8987 3.5165 5.2160
H 2.3794 0.1901 1.6508
H 1.9253 3.4626 6.4521
H 2.1615 0.1360 7.1170
H 2.6156 3.5167 2.3158
H 2.7840 1.2653 8.0649
H 3.2381 2.3875 3.2636
H 2.8004 4.8483 8.5828
H 3.2545 6.1100 3.7815
H 3.5306 1.1955 5.8211
H 3.9847 2.4572 1.0198
H 3.5470 4.9180 6.3389
H 4.0011 6.0403 1.5376
H 4.1695 3.7888 7.2868
H 4.6236 7.1695 2.4855
H 4.8598 3.8429 3.1504
H 4.4057 7.1154 7.9517
H 5.8865 3.7890 4.3865
H 5.4324 7.1693 9.1878
O -0.2595 1.0352 7.5576
O 0.1946 2.6176 2.7563
O 0.5560 4.9488 4.1214
O 0.1019 6.0095 8.9227
O 0.9682 0.1661 3.9093
O 0.5142 3.4867 8.7106
O 1.4221 4.6090 1.4016
O 0.9680 6.3493 6.2029
O 1.5783 0.6320 1.2464
O 1.1243 3.0207 6.0477
O 2.3776 5.0449 9.4750
O 2.8317 5.9134 4.6737
O 2.9907 0.6332 7.3395
O 3.4447 3.0196 2.5382
O 3.3404 4.2859 7.0644
O 3.7945 6.6724 2.2631
O 3.9535 1.3922 4.9289
O 4.4076 2.2606 0.1276
O 5.6609 4.2848 3.5548
O 5.2068 6.6735 8.3561
O 5.8172 0.9562 3.3997
O 5.3631 2.6966 8.2009
O 6.2710 3.8188 0.8920
O 5.8169 7.1395 5.6933
O 6.6832 1.2960 0.6799
O 6.2292 2.3568 5.4812
O 6.5906 4.6880 6.8462
O 7.0446 6.2703 2.0449
```

Principal peaks in the range 2θ = 10–90°, sorted by position:
Position (°2θ), I (rel.)
11.55, 100
15.24, 16
16.77, 25
24.22, 17
25.87, 17
28.41, 34
28.99, 63
38.35, 18

---

Record 7
# Li5Fe8B8O24
Calculated powder diffraction line list, a wavelength of 1.5418 Å. Input: DFT lattice parameters and positions (GGA+U).
Peak positions follow from Bragg's law for the DFT cell and can differ from measured ones.

Cell and atoms:
```
45
Lattice="5.2714 0.0000 0.0000 0.0656 9.0736 0.0000 2.4192 4.4912 10.1612" Properties=species:S:1:pos:R:3 pbc="T T T"
Li 0.0000 0.0000 0.0000
Li 0.9870 4.7691 2.5793
Li 2.5935 4.6278 5.1381
Li 3.6111 9.0417 7.5765
Li 3.6454 9.2440 2.5654
Fe 0.9712 7.7635 2.9290
Fe 2.6484 10.5916 5.3704
Fe 3.5300 5.9724 7.9690
Fe 2.7048 7.6148 0.3407
Fe 3.6114 3.2003 2.8630
Fe 5.2748 6.1708 5.4696
Fe 6.1811 10.7305 7.9158
Fe 5.3414 3.1559 0.3285
B 0.9452 1.6457 2.8249
B 2.6618 7.5436 5.4771
B 3.4785 12.0800 8.0093
B 2.7535 1.6133 0.3801
B 3.5779 6.1830 2.9654
B 5.2254 3.1859 5.4683
B 6.1584 7.7142 7.9497
B 5.3528 6.1843 0.3554
O 1.3626 7.4336 5.0043
O 2.2187 7.6203 8.4350
O 0.6452 4.9477 0.6097
O 0.7302 7.3430 0.7693
O 2.7277 4.1792 8.1428
O 2.8597 10.8844 7.5932
O 1.3925 1.6999 0.0072
O 2.2881 1.6064 3.2184
O 3.2716 8.7308 5.6494
O 3.3322 6.3275 5.7904
O 2.8237 5.0246 3.0662
O 3.0116 7.3661 2.5255
O 3.8958 3.1325 5.0630
O 4.8151 12.0173 8.3603
O 3.3830 0.4079 0.4999
O 3.4619 2.7861 0.6662
O 5.5193 8.9255 7.9136
O 5.4885 6.5786 7.4877
O 4.9287 6.1588 3.3650
O 6.5503 10.7816 9.8907
O 5.9718 11.1392 5.9231
O 5.9348 4.3848 5.3755
O 5.5078 9.5994 2.8117
O 5.6544 2.8830 2.4134
```

Principal peaks in the range 2θ = 10–90°, sorted by position:
Position (°2θ), I (rel.)
19.56, 85
21.47, 96
21.58, 44
26.06, 36
26.55, 44
34.05, 67
35.33, 100
49.49, 34